For Y6P10Ru, DFT lattice parameters and positions (GGA-PBE) gives the calculated X-ray powder pattern in this record (Cu Kα X-rays).

Most intense lines, 5° ≤ 2θ ≤ 70°, most intense first:
Position (°2θ), Rel. int.
34.21, 100.0
32.73, 82.5
25.47, 74.7
30.36, 72.8
25.63, 57.0
25.21, 48.0
44.24, 43.1
37.92, 36.4
22.87, 33.6
36.49, 33.1

Structure:
```
data_Y6P10Ru
_chemical_formula_sum 'Y6 P10 Ru1'
_symmetry_space_group_name_H-M 'P -1'
_symmetry_Int_Tables_number 2
_cell_length_a 6.2484
_cell_length_b 7.9994
_cell_length_c 8.6650
_cell_angle_alpha 100.12
_cell_angle_beta 108.63
_cell_angle_gamma 112.44
loop_
_symmetry_equiv_pos_as_xyz
'x,y,z'
'-x,-y,-z'
loop_
_atom_site_label
_atom_site_fract_x
_atom_site_fract_y
_atom_site_fract_z
_atom_site_occupancy
Y1 0.0612 0.0496 0.2236 1
Y2 0.3205 0.7381 0.1278 1
Y3 0.3270 0.5302 0.6626 1
P1 0.1424 0.4296 0.2854 1
P2 0.1605 0.7046 0.4108 1
P3 0.2041 0.3535 0.0429 1
P4 0.2158 0.1133 0.5700 1
P5 0.4158 0.0950 0.0487 1
Ru1 0.5000 0.0000 0.5000 1
```